Simulated powder diffractogram
Compound: TbPr7Nd4
Radiation: CuKα
Structure: a GGA-PBE-relaxed structure
Peak positions follow from Bragg's law for the DFT cell and can differ from measured ones.

Largest 10 diffraction maxima, by intensity, 5° ≤ 2θ ≤ 70°:
2θ/deg, Rel. int., hkl
30.8, 100, 2 0 2
32.4, 57, 2 0 -1
29.9, 50, 0 0 3
27.9, 36, 1 -2 0
32.5, 27, 1 -2 2
49.0, 25, 3 2 1
52.6, 23, 2 0 5
58.5, 22, 3 2 -2
58.6, 22, 0 4 3
55.7, 17, 2 0 -4

Cell lengths 6.441, 7.417, 9.228 Å; angles 89.92, 76.48, 89.90 degrees
Space group P-1 (No. 2)
Inequivalent atoms, fractional coordinates:
Tb  0.000  0.000  0.000 [1 per cell]
Pr  0.000  0.500  0.000 [1 per cell]
Pr  0.219  0.000  0.332 [2 per cell]
Pr  0.280  0.751  0.669 [2 per cell]
Pr  0.500  0.249  0.000 [2 per cell]
Nd  0.221  0.500  0.332 [2 per cell]
Nd  0.279  0.249  0.670 [2 per cell]